# Ba2La2ZnW2O12
Theoretical XRD peak list, Cu Kα X-rays. Input: a crystal structure in Alexandria, relaxed with GGA+U.

Main lines, sorted by position (15 to 90 degrees two-theta):
Position (°2θ)	d (Å)	I (rel.)
29.15	3.064	100
31.46	2.844	87
43.42	2.084	54
50.18	1.818	19
54.59	1.681	35
56.01	1.642	17
60.44	1.532	16
65.66	1.422	16
69.74	1.349	16
73.41	1.290	15

Structure:
```
Ba2La2ZnW2O12
1.0
2.844 1.642 9.129
-2.844 1.642 9.129
0.000 -3.284 9.129
Ba La Zn W O
2 2 1 2 12
direct
0.210 0.210 0.210
0.790 0.790 0.790
0.365 0.365 0.365
0.635 0.635 0.635
0.500 0.500 0.500
0.077 0.077 0.077
0.923 0.923 0.923
0.128 0.128 0.626
0.128 0.626 0.128
0.209 0.718 0.718
0.282 0.282 0.791
0.282 0.791 0.282
0.374 0.872 0.872
0.626 0.128 0.128
0.718 0.209 0.718
0.718 0.718 0.209
0.791 0.282 0.282
0.872 0.374 0.872
0.872 0.872 0.374
```